[1]
This entry pairs a crystal structure of FeNiO3 with its computed X-ray powder pattern. Radiation: copper Kα. Structure: a structure optimized by DFT (GGA+U).
Intensities are scaled so that the largest is 100.

Peak list (10 most intense, 2θ from 5° to 70°, by angle)
d/Å, intensity
3.691, 46
2.702, 100
2.526, 89
2.291, 5
2.212, 19
1.845, 40
1.697, 69
1.599, 5
1.490, 34
1.458, 36

Structural model:
Cell lengths 5.432, 5.432, 5.432 Å; angles 55.42, 55.42, 55.42 degrees
Element x y z (fractional)
Fe: 0.000 0.000 0.000
Fe: 0.299 0.299 0.299
Ni: 0.501 0.501 0.501
Ni: 0.798 0.798 0.798
O: 0.106 0.381 0.715
O: 0.207 0.904 0.602
O: 0.381 0.715 0.106
O: 0.602 0.207 0.904
O: 0.715 0.106 0.381
O: 0.904 0.602 0.207

---

[2]
This entry pairs a crystal structure of FeNi2O4 with its computed X-ray powder pattern. Radiation: copper Kα. Structure: a structure optimized by DFT (GGA+U).
Intensities are scaled so that the largest is 100.

Peak list (10 most intense, 2θ from 5° to 70°, by angle)
d/Å, intensity
2.966, 24
2.943, 24
2.532, 47
2.518, 100
2.510, 48
2.089, 44
1.608, 26
1.604, 23
1.483, 44
1.471, 43

Structural model:
Cell lengths 5.932, 5.932, 5.932 Å; angles 59.47, 59.47, 59.47 degrees
Element x y z (fractional)
Fe: 0.129 0.129 0.129
Fe: 0.871 0.871 0.871
Ni: 0.000 0.500 0.500
Ni: 0.500 0.000 0.500
Ni: 0.500 0.500 0.000
Ni: 0.500 0.500 0.500
O: 0.259 0.259 0.259
O: 0.260 0.260 0.731
O: 0.260 0.731 0.260
O: 0.269 0.740 0.740
O: 0.731 0.260 0.260
O: 0.740 0.269 0.740
O: 0.740 0.740 0.269
O: 0.741 0.741 0.741

---

[3]
This entry pairs a crystal structure of Fe7Ni6O16 with its computed X-ray powder pattern. Radiation: copper Kα. Structure: a structure optimized by DFT (GGA+U).
Intensities are scaled so that the largest is 100.

Peak list (10 most intense, 2θ from 5° to 70°, by angle)
d/Å, intensity
9.722, 32
4.909, 24
2.549, 39
2.457, 45
2.127, 100
2.107, 48
1.512, 24
1.501, 46
1.496, 23
1.493, 44

Structural model:
Cell lengths 6.005, 6.005, 10.297 Å; angles 106.54, 106.54, 60.49 degrees
Element x y z (fractional)
Fe: 0.000 0.000 0.000
Fe: 0.252 0.740 0.252
Fe: 0.260 0.748 0.748
Fe: 0.313 0.313 0.927
Fe: 0.687 0.687 0.073
Fe: 0.740 0.252 0.252
Fe: 0.748 0.260 0.748
Ni: 0.000 0.000 0.500
Ni: 0.000 0.500 0.500
Ni: 0.251 0.251 0.248
Ni: 0.500 0.000 0.500
Ni: 0.500 0.500 0.500
Ni: 0.749 0.749 0.752
O: 0.116 0.116 0.862
O: 0.121 0.639 0.866
O: 0.123 0.123 0.374
O: 0.140 0.623 0.378
O: 0.361 0.879 0.134
O: 0.377 0.860 0.622
O: 0.380 0.380 0.131
O: 0.382 0.382 0.625
O: 0.618 0.618 0.375
O: 0.620 0.620 0.869
O: 0.623 0.140 0.378
O: 0.639 0.121 0.866
O: 0.860 0.377 0.622
O: 0.877 0.877 0.626
O: 0.879 0.361 0.134
O: 0.884 0.884 0.138

---

[4]
This entry pairs a crystal structure of FeNi2O4 with its computed X-ray powder pattern. Radiation: copper Kα. Structure: a structure optimized by DFT (GGA+U).
Intensities are scaled so that the largest is 100.

Peak list (10 most intense, 2θ from 5° to 70°, by angle)
d/Å, intensity
4.830, 13
2.958, 25
2.522, 100
2.415, 11
2.091, 23
1.919, 1
1.708, 9
1.610, 34
1.479, 45
1.414, 2

Structural model:
Cell lengths 5.915, 5.915, 5.915 Å; angles 60.00, 60.00, 60.00 degrees
Element x y z (fractional)
Fe: 0.125 0.125 0.125
Fe: 0.875 0.875 0.875
Ni: 0.000 0.500 0.500
Ni: 0.500 0.000 0.500
Ni: 0.500 0.500 0.000
Ni: 0.500 0.500 0.500
O: 0.258 0.258 0.258
O: 0.258 0.258 0.727
O: 0.258 0.727 0.258
O: 0.273 0.742 0.742
O: 0.727 0.258 0.258
O: 0.742 0.273 0.742
O: 0.742 0.742 0.273
O: 0.742 0.742 0.742

---

[5]
This entry pairs a crystal structure of Fe14Ni11O32 with its computed X-ray powder pattern. Radiation: copper Kα. Structure: a structure optimized by DFT (GGA+U).
Intensities are scaled so that the largest is 100.

Peak list (10 most intense, 2θ from 5° to 70°, by angle)
d/Å, intensity
2.975, 41
2.564, 62
2.556, 45
2.546, 36
2.533, 100
2.140, 42
2.129, 42
2.123, 42
1.526, 48
1.481, 30

Structural model:
Cell lengths 5.926, 6.112, 19.782 Å; angles 89.34, 81.39, 61.27 degrees
Element x y z (fractional)
Fe: 0.000 0.000 0.000
Fe: 0.000 0.487 0.003
Fe: 0.012 0.803 0.667
Fe: 0.444 0.517 0.093
Fe: 0.473 0.958 0.591
Fe: 0.479 0.275 0.759
Fe: 0.505 0.235 0.247
Fe: 0.512 0.737 0.245
Fe: 0.520 0.041 0.414
Fe: 0.546 0.481 0.909
Fe: 0.739 0.879 0.126
Fe: 0.933 0.790 0.846
Fe: 0.984 0.203 0.323
Fe: 0.996 0.500 0.500
Ni: 0.010 0.731 0.243
Ni: 0.241 0.129 0.877
Ni: 0.241 0.385 0.625
Ni: 0.246 0.630 0.373
Ni: 0.488 0.765 0.753
Ni: 0.493 0.997 0.000
Ni: 0.496 0.502 0.500
Ni: 0.745 0.376 0.626
Ni: 0.752 0.616 0.374
Ni: 0.983 0.272 0.757
Ni: 0.997 0.001 0.498
O: 0.106 0.691 0.062
O: 0.119 0.701 0.568
O: 0.124 0.435 0.813
O: 0.124 0.952 0.810
O: 0.125 0.433 0.310
O: 0.126 0.178 0.049
O: 0.133 0.179 0.564
O: 0.169 0.864 0.300
O: 0.338 0.374 0.441
O: 0.353 0.316 0.941
O: 0.355 0.828 0.939
O: 0.364 0.567 0.688
O: 0.365 0.082 0.688
O: 0.378 0.809 0.436
O: 0.390 0.541 0.191
O: 0.407 0.027 0.197
O: 0.604 0.959 0.810
O: 0.607 0.455 0.810
O: 0.610 0.937 0.317
O: 0.618 0.186 0.563
O: 0.627 0.439 0.308
O: 0.635 0.163 0.062
O: 0.638 0.686 0.062
O: 0.655 0.630 0.557
O: 0.829 0.134 0.697
O: 0.840 0.608 0.193
O: 0.852 0.034 0.195
O: 0.865 0.816 0.435
O: 0.869 0.811 0.945
O: 0.870 0.576 0.687
O: 0.874 0.311 0.941
O: 0.882 0.293 0.425

---

[6]
This entry pairs a crystal structure of FeNiO3 with its computed X-ray powder pattern. Radiation: copper Kα. Structure: a structure optimized by DFT (GGA+U).
Intensities are scaled so that the largest is 100.

Peak list (10 most intense, 2θ from 5° to 70°, by angle)
d/Å, intensity
3.698, 41
2.711, 100
2.528, 86
2.302, 4
2.216, 18
1.849, 40
1.702, 63
1.606, 6
1.492, 34
1.460, 35

Structural model:
Cell lengths 5.451, 5.451, 5.451 Å; angles 55.26, 55.26, 55.26 degrees
Element x y z (fractional)
Fe: 0.152 0.152 0.152
Fe: 0.848 0.848 0.848
Ni: 0.355 0.355 0.355
Ni: 0.645 0.645 0.645
O: 0.048 0.442 0.768
O: 0.232 0.952 0.558
O: 0.442 0.768 0.048
O: 0.558 0.232 0.952
O: 0.768 0.048 0.442
O: 0.952 0.558 0.232

---

[7]
This entry pairs a crystal structure of Fe3NiP4O16 with its computed X-ray powder pattern. Radiation: copper Kα. Structure: a structure optimized by DFT (GGA+U).
Intensities are scaled so that the largest is 100.

Peak list (10 most intense, 2θ from 5° to 70°, by angle)
d/Å, intensity
4.972, 75
4.374, 94
3.802, 22
3.513, 93
2.949, 75
2.485, 100
2.445, 29
1.878, 22
1.755, 22
1.598, 24

Structural model:
Cell lengths 4.870, 5.899, 9.945 Å; angles 90.00, 90.19, 90.00 degrees
Element x y z (fractional)
Fe: 0.000 0.000 0.000
Fe: 0.066 0.500 0.547
Fe: 0.566 0.000 0.499
Ni: 0.485 0.500 0.051
P: 0.118 0.000 0.678
P: 0.451 0.000 0.177
P: 0.615 0.500 0.366
P: 0.951 0.500 0.875
O: 0.187 0.000 0.827
O: 0.263 0.203 0.602
O: 0.263 0.797 0.602
O: 0.266 0.500 0.888
O: 0.300 0.201 0.102
O: 0.300 0.799 0.102
O: 0.306 0.500 0.390
O: 0.381 0.000 0.326
O: 0.690 0.500 0.218
O: 0.759 0.000 0.156
O: 0.762 0.298 0.443
O: 0.762 0.702 0.443
O: 0.808 0.000 0.654
O: 0.811 0.295 0.947
O: 0.811 0.705 0.947
O: 0.890 0.500 0.723

---

[8]
This entry pairs a crystal structure of FeNiPO5 with its computed X-ray powder pattern. Radiation: copper Kα. Structure: a structure optimized by DFT (GGA+U).
Intensities are scaled so that the largest is 100.

Peak list (10 most intense, 2θ from 5° to 70°, by angle)
d/Å, intensity
5.265, 53
3.342, 33
3.318, 96
2.745, 100
2.633, 38
2.428, 25
2.366, 26
2.317, 29
1.659, 28
1.541, 40

Structural model:
Cell lengths 7.401, 6.433, 7.492 Å; angles 90.00, 90.00, 90.00 degrees
Element x y z (fractional)
Fe: 0.150 0.250 0.207
Fe: 0.350 0.750 0.707
Fe: 0.650 0.250 0.293
Fe: 0.850 0.750 0.793
Ni: 0.000 0.000 0.500
Ni: 0.000 0.500 0.500
Ni: 0.500 0.000 0.000
Ni: 0.500 0.500 0.000
P: 0.130 0.750 0.142
P: 0.370 0.250 0.642
P: 0.630 0.750 0.358
P: 0.870 0.250 0.858
O: 0.039 0.250 0.975
O: 0.101 0.750 0.640
O: 0.131 0.556 0.265
O: 0.131 0.944 0.265
O: 0.196 0.250 0.526
O: 0.304 0.750 0.026
O: 0.369 0.056 0.765
O: 0.369 0.444 0.765
O: 0.399 0.250 0.140
O: 0.461 0.750 0.475
O: 0.539 0.250 0.525
O: 0.601 0.750 0.860
O: 0.631 0.556 0.235
O: 0.631 0.944 0.235
O: 0.696 0.250 0.974
O: 0.804 0.750 0.474
O: 0.869 0.056 0.735
O: 0.869 0.444 0.735
O: 0.899 0.250 0.360
O: 0.961 0.750 0.025

---

Repeat the third record exactly.
This entry pairs a crystal structure of Fe7Ni6O16 with its computed X-ray powder pattern. Radiation: copper Kα. Structure: a structure optimized by DFT (GGA+U).
Intensities are scaled so that the largest is 100.

Peak list (10 most intense, 2θ from 5° to 70°, by angle)
d/Å, intensity
9.722, 32
4.909, 24
2.549, 39
2.457, 45
2.127, 100
2.107, 48
1.512, 24
1.501, 46
1.496, 23
1.493, 44

Structural model:
Cell lengths 6.005, 6.005, 10.297 Å; angles 106.54, 106.54, 60.49 degrees
Element x y z (fractional)
Fe: 0.000 0.000 0.000
Fe: 0.252 0.740 0.252
Fe: 0.260 0.748 0.748
Fe: 0.313 0.313 0.927
Fe: 0.687 0.687 0.073
Fe: 0.740 0.252 0.252
Fe: 0.748 0.260 0.748
Ni: 0.000 0.000 0.500
Ni: 0.000 0.500 0.500
Ni: 0.251 0.251 0.248
Ni: 0.500 0.000 0.500
Ni: 0.500 0.500 0.500
Ni: 0.749 0.749 0.752
O: 0.116 0.116 0.862
O: 0.121 0.639 0.866
O: 0.123 0.123 0.374
O: 0.140 0.623 0.378
O: 0.361 0.879 0.134
O: 0.377 0.860 0.622
O: 0.380 0.380 0.131
O: 0.382 0.382 0.625
O: 0.618 0.618 0.375
O: 0.620 0.620 0.869
O: 0.623 0.140 0.378
O: 0.639 0.121 0.866
O: 0.860 0.377 0.622
O: 0.877 0.877 0.626
O: 0.879 0.361 0.134
O: 0.884 0.884 0.138